# 1
# LiTa2Te4Br10O
Theoretical XRD peak list, CuKα. Input: a DFT-relaxed cell (PBE, the Materials Project).

Cell and atoms:
```
data_LiTa2Te4Br10O
_chemical_formula_sum 'Li1 Ta2 Te4 Br10 O1'
_cell_length_a 7.916
_cell_length_b 9.096
_cell_length_c 9.613
_cell_angle_alpha 94.54
_cell_angle_beta 95.70
_cell_angle_gamma 100.25
_space_group_name_H-M_alt 'P 1'
_space_group_IT_number 1
_space_group_name_Hall 'P 1'
loop_
_atom_site_label
_atom_site_type_symbol
_atom_site_fract_x
_atom_site_fract_y
_atom_site_fract_z
Li1 Li 0.000 0.000 0.000
Ta1 Ta 0.095 0.269 0.339
Ta2 Ta 0.103 0.991 0.615
Te1 Te 0.392 0.524 0.845
Te2 Te 0.485 0.797 0.004
Te3 Te 0.686 0.435 0.965
Te4 Te 0.776 0.704 0.131
Br1 Br 0.075 0.450 0.145
Br2 Br 0.109 0.807 0.829
Br3 Br 0.251 0.820 0.481
Br4 Br 0.260 0.110 0.181
Br5 Br 0.378 0.415 0.443
Br6 Br 0.396 0.141 0.730
Br7 Br 0.808 0.845 0.532
Br8 Br 0.815 0.095 0.200
Br9 Br 0.914 0.406 0.476
Br10 Br 0.963 0.156 0.789
O1 O 0.095 0.125 0.476
```

Main lines, in order of rising 2θ (2θ = 10–90°):
- 2θ = 11.44°, rel. 537, hkl 1 0 0
- 2θ = 13.89°, rel. 1000, hkl 1 0 -1
- 2θ = 14.27°, rel. 622, hkl 0 1 1
- 2θ = 20.27°, rel. 811, hkl 0 1 -2
- 2θ = 28.73°, rel. 509, hkl -1 2 2
- 2θ = 29.62°, rel. 535, hkl 2 1 1

# 2
# LiTa2Te4Br10O
Theoretical XRD peak list, CuKα. Input: a DFT-relaxed cell (PBE, the Materials Project).

Cell and atoms:
```
data_LiTa2Te4Br10O
_chemical_formula_sum 'Li1 Ta2 Te4 Br10 O1'
_cell_length_a 7.889
_cell_length_b 9.246
_cell_length_c 9.977
_cell_angle_alpha 95.55
_cell_angle_beta 94.19
_cell_angle_gamma 103.82
_space_group_name_H-M_alt 'P 1'
_space_group_IT_number 1
_space_group_name_Hall 'P 1'
loop_
_atom_site_label
_atom_site_type_symbol
_atom_site_fract_x
_atom_site_fract_y
_atom_site_fract_z
Li1 Li 0.000 0.000 0.000
Ta1 Ta 0.915 0.642 0.952
Ta2 Ta 0.958 0.397 0.233
Te1 Te 0.251 0.933 0.441
Te2 Te 0.360 0.211 0.593
Te3 Te 0.516 0.839 0.578
Te4 Te 0.625 0.116 0.729
Br1 Br 0.045 0.503 0.780
Br2 Br 0.142 0.268 0.071
Br3 Br 0.214 0.826 0.027
Br4 Br 0.261 0.570 0.321
Br5 Br 0.608 0.497 0.865
Br6 Br 0.679 0.220 0.131
Br7 Br 0.779 0.812 0.112
Br8 Br 0.816 0.544 0.390
Br9 Br 0.888 0.846 0.769
Br10 Br 0.990 0.214 0.407
O1 O 0.940 0.524 0.090
```

Main lines, in order of rising 2θ (2θ = 10–90°):
- 2θ = 13.95°, rel. 1000, hkl 1 0 -1
- 2θ = 14.14°, rel. 527, hkl 0 1 1
- 2θ = 19.49°, rel. 520, hkl 0 1 -2
- 2θ = 20.41°, rel. 433, hkl 1 0 -2
- 2θ = 28.12°, rel. 349, hkl -1 2 2
- 2θ = 32.42°, rel. 476, hkl -2 2 2

# 3
# LiTa2Te4Br10O
Theoretical XRD peak list, CuKα. Input: a DFT-relaxed cell (PBE, the Materials Project).

Cell and atoms:
```
data_LiTa2Te4Br10O
_chemical_formula_sum 'Li1 Ta2 Te4 Br10 O1'
_cell_length_a 7.713
_cell_length_b 8.882
_cell_length_c 10.052
_cell_angle_alpha 93.83
_cell_angle_beta 93.30
_cell_angle_gamma 105.84
_space_group_name_H-M_alt 'P 1'
_space_group_IT_number 1
_space_group_name_Hall 'P 1'
loop_
_atom_site_label
_atom_site_type_symbol
_atom_site_fract_x
_atom_site_fract_y
_atom_site_fract_z
Li1 Li 0.000 0.000 0.000
Ta1 Ta 0.284 0.539 0.553
Ta2 Ta 0.323 0.274 0.829
Te1 Te 0.626 0.804 0.052
Te2 Te 0.721 0.090 0.207
Te3 Te 0.904 0.719 0.195
Te4 Te 0.992 0.005 0.349
Br1 Br 0.125 0.683 0.703
Br2 Br 0.193 0.421 0.002
Br3 Br 0.264 0.734 0.369
Br4 Br 0.338 0.069 0.022
Br5 Br 0.405 0.376 0.388
Br6 Br 0.449 0.102 0.681
Br7 Br 0.592 0.709 0.625
Br8 Br 0.639 0.437 0.915
Br9 Br 0.962 0.358 0.468
Br10 Br 0.997 0.094 0.769
O1 O 0.299 0.402 0.693
```

Main lines, in order of rising 2θ (2θ = 10–90°):
- 2θ = 14.29°, rel. 1000, hkl 1 0 -1
- 2θ = 19.81°, rel. 426, hkl 0 1 -2
- 2θ = 22.43°, rel. 269, hkl 1 -1 2
- 2θ = 26.31°, rel. 229, hkl 0 2 -2
- 2θ = 28.17°, rel. 341, hkl -1 2 2
- 2θ = 31.09°, rel. 279, hkl 2 1 1